(1)
# NaMg14BO15
Computed X-ray powder pattern, λ = 1.5418 Å (Cu Kα). Input: a crystal structure in Alexandria, relaxed with GGA-PBE.
Kinematic intensities with the Lorentz-polarization factor, no thermal factor.

Crystal structure
```
NaMg14BO15
1.0
4.3495 0.0000 0.0000
0.0000 8.3466 0.0000
0.0000 0.0000 8.6409
Na Mg B O
1 14 1 15
direct
0.0000 0.0000 0.0000 Na
0.0000 0.0000 0.5073 Mg
0.0000 0.2433 0.2594 Mg
0.0000 0.2647 0.7540 Mg
0.0000 0.5000 0.5045 Mg
0.0000 0.7353 0.7540 Mg
0.0000 0.7567 0.2594 Mg
0.5000 0.0000 0.2510 Mg
0.5000 0.0000 0.7618 Mg
0.5000 0.2496 0.5064 Mg
0.5000 0.2605 0.0077 Mg
0.5000 0.5000 0.2542 Mg
0.5000 0.5000 0.7667 Mg
0.5000 0.7395 0.0077 Mg
0.5000 0.7504 0.5064 Mg
0.0000 0.5000 0.0656 B
0.0000 0.0000 0.2637 O
0.0000 0.2523 0.4997 O
0.0000 0.3305 0.0146 O
0.0000 0.5000 0.2387 O
0.0000 0.5000 0.7317 O
0.0000 0.6695 0.0146 O
0.0000 0.7477 0.4997 O
0.5000 0.0000 0.0070 O
0.5000 0.0000 0.5072 O
0.5000 0.2496 0.2539 O
0.5000 0.2537 0.7606 O
0.5000 0.5000 0.0181 O
0.5000 0.5000 0.4934 O
0.5000 0.7463 0.7606 O
0.5000 0.7504 0.2539 O
```

Principal peaks in the range 2θ = 10–90°, in order of rising 2θ:
2θ/deg, d [Å], intensity
36.4, 2.470, 37
41.5, 2.175, 100
41.8, 2.160, 93
43.4, 2.087, 73
60.4, 1.533, 54
61.6, 1.506, 45
61.8, 1.501, 42
77.2, 1.235, 39

=====

(2)
# Sm3Cu4Hg2
Computed X-ray powder pattern, λ = 1.5418 Å (Cu Kα). Input: a crystal structure in Alexandria, relaxed with GGA-PBE.
Kinematic intensities with the Lorentz-polarization factor, no thermal factor.

Crystal structure
```
Sm3Cu4Hg2
1.0
5.4681 -2.2261 0.0000
5.4681 2.2261 0.0000
-3.6883 0.0000 7.8692
Sm Cu Hg
3 4 2
direct
0.0000 0.0000 0.0000 Sm
0.3526 0.3526 0.3120 Sm
0.6474 0.6474 0.6880 Sm
0.0682 0.0682 0.4148 Cu
0.2686 0.2686 0.9459 Cu
0.7314 0.7314 0.0541 Cu
0.9318 0.9318 0.5852 Cu
0.3592 0.3592 0.6980 Hg
0.6408 0.6408 0.3020 Hg
```

Principal peaks in the range 2θ = 10–90°, in order of rising 2θ:
2θ/deg, d [Å], intensity
28.7, 3.109, 31
33.8, 2.652, 100
34.2, 2.623, 41
34.4, 2.608, 48
39.2, 2.297, 86
40.5, 2.226, 47
54.0, 1.697, 22
67.4, 1.389, 21

=====

(3)
# Nd2Ho4Tl
Computed X-ray powder pattern, λ = 1.5418 Å (Cu Kα). Input: a crystal structure in Alexandria, relaxed with GGA-PBE.
Kinematic intensities with the Lorentz-polarization factor, no thermal factor.

Crystal structure
```
Nd2Ho4Tl
1.0
5.8236 0.0000 0.0000
0.0000 6.6916 0.0000
-2.6869 0.0000 11.2203
Nd Ho Tl
4 8 2
direct
0.0374 0.2500 0.4750 Nd
0.3360 0.7500 0.0715 Nd
0.6640 0.2500 0.9285 Nd
0.9626 0.7500 0.5250 Nd
0.1596 0.0086 0.7875 Ho
0.1596 0.4914 0.7875 Ho
0.2145 0.2500 0.0683 Ho
0.3924 0.7500 0.3689 Ho
0.6076 0.2500 0.6311 Ho
0.7855 0.7500 0.9317 Ho
0.8404 0.5086 0.2125 Ho
0.8404 0.9914 0.2125 Ho
0.4676 0.2500 0.3384 Tl
0.5324 0.7500 0.6616 Tl
```

Principal peaks in the range 2θ = 10–90°, in order of rising 2θ:
2θ/deg, d [Å], intensity
26.6, 3.346, 27
30.7, 2.911, 73
31.1, 2.875, 100
31.6, 2.832, 90
32.1, 2.785, 70
33.0, 2.714, 36
33.2, 2.696, 40
54.9, 1.673, 26

=====

(4)
# Ho2Si2Ni5
Computed X-ray powder pattern, λ = 1.5418 Å (Cu Kα). Input: a crystal structure in Alexandria, relaxed with GGA-PBE.
Kinematic intensities with the Lorentz-polarization factor, no thermal factor.

Crystal structure
```
Ho2Si2Ni5
1.0
3.9895 0.0000 0.0000
0.0000 3.9895 0.0000
0.0000 0.0000 8.2848
Ho Si Ni
2 2 5
direct
0.0000 0.0000 0.0000 Ho
0.0000 0.0000 0.5000 Ho
0.5000 0.5000 0.1480 Si
0.5000 0.5000 0.8520 Si
0.0000 0.5000 0.2764 Ni
0.0000 0.5000 0.7236 Ni
0.5000 0.0000 0.2764 Ni
0.5000 0.0000 0.7236 Ni
0.5000 0.5000 0.5000 Ni
```

Principal peaks in the range 2θ = 10–90°, in order of rising 2θ:
2θ/deg, d [Å], intensity
22.3, 3.990, 21
31.1, 2.874, 35
38.6, 2.332, 100
43.7, 2.071, 14
45.5, 1.995, 40
56.1, 1.639, 14
64.9, 1.437, 16
79.4, 1.207, 23

=====

(5)
# Ac2TmCu2Se6
Computed X-ray powder pattern, λ = 1.5418 Å (Cu Kα). Input: a crystal structure in Alexandria, relaxed with GGA-PBE.
Kinematic intensities with the Lorentz-polarization factor, no thermal factor.

Crystal structure
```
Ac2TmCu2Se6
1.0
3.7013 2.1369 6.9211
-3.7013 2.1369 6.9211
0.0000 -4.2739 6.9211
Ac Tm Cu Se
2 1 2 6
direct
0.2070 0.2070 0.2070 Ac
0.7930 0.7930 0.7930 Ac
0.0000 0.0000 0.0000 Tm
0.4312 0.4312 0.4312 Cu
0.5688 0.5688 0.5688 Cu
0.2161 0.7517 0.7517 Se
0.2483 0.2483 0.7839 Se
0.2483 0.7839 0.2483 Se
0.7517 0.2161 0.7517 Se
0.7517 0.7517 0.2161 Se
0.7839 0.2483 0.2483 Se
```

Principal peaks in the range 2θ = 10–90°, in order of rising 2θ:
2θ/deg, d [Å], intensity
14.5, 6.126, 35
24.0, 3.701, 100
25.6, 3.485, 82
29.2, 3.063, 60
32.8, 2.727, 84
35.4, 2.537, 72
43.2, 2.093, 62
49.2, 1.851, 59

=====

(6)
# Mg2CoW3S8
Computed X-ray powder pattern, λ = 1.5418 Å (Cu Kα). Input: a crystal structure in Alexandria, relaxed with GGA-PBE.
Kinematic intensities with the Lorentz-polarization factor, no thermal factor.

Crystal structure
```
Mg2CoW3S8
1.0
3.4631 1.9994 6.1686
-3.4631 1.9994 6.1686
0.0000 -3.9989 6.1686
Mg Co W S
2 1 3 8
direct
0.0000 0.0000 0.0000 Mg
0.2414 0.2414 0.2414 Mg
0.5875 0.5875 0.5875 Co
0.0427 0.6348 0.6348 W
0.6348 0.0427 0.6348 W
0.6348 0.6348 0.0427 W
0.3567 0.3567 0.8183 S
0.3567 0.8183 0.3567 S
0.3742 0.3742 0.3742 S
0.3975 0.8159 0.8159 S
0.8159 0.3975 0.8159 S
0.8159 0.8159 0.3975 S
0.8183 0.3567 0.3567 S
0.8637 0.8637 0.8637 S
```

Principal peaks in the range 2θ = 10–90°, in order of rising 2θ:
2θ/deg, d [Å], intensity
14.4, 6.169, 100
15.5, 5.706, 97
17.6, 5.033, 25
28.3, 3.150, 25
30.2, 2.961, 48
35.7, 2.517, 84
47.8, 1.902, 36
49.8, 1.832, 34

=====

> Which formula does entry 6 have?

Mg2CoW3S8